This entry pairs a crystal structure of Si23Os3 with its calculated X-ray diffraction stick pattern. Radiation: λ = 1.5418 Å (Cu Kα). Structure: a DFT-relaxed cell (PBE, Alexandria).

The 10 most intense peaks (2θ = 10–90°), sorted by position:
two_theta  Rel. int.
12.42  56
19.70  100
30.73  92
32.02  97
33.26  84
35.63  33
41.04  33
48.65  40
52.98  43
56.27  33

Structural model:
Lattice parameters (Å, degrees): 10.0782 10.0782 10.0782 90.00 90.00 90.00
Atoms (fractional coordinates):
Si: 0.0000 0.1153 0.3123
Si: 0.0000 0.1153 0.6877
Si: 0.0000 0.2500 0.5000
Si: 0.0000 0.7500 0.5000
Si: 0.0000 0.8847 0.3123
Si: 0.0000 0.8847 0.6877
Si: 0.1153 0.3123 0.0000
Si: 0.1153 0.6877 0.0000
Si: 0.1837 0.1837 0.1837
Si: 0.1837 0.1837 0.8163
Si: 0.1837 0.8163 0.1837
Si: 0.1837 0.8163 0.8163
Si: 0.1877 0.3847 0.5000
Si: 0.1877 0.6153 0.5000
Si: 0.2500 0.5000 0.0000
Si: 0.3123 0.0000 0.1153
Si: 0.3123 0.0000 0.8847
Si: 0.3163 0.3163 0.3163
Si: 0.3163 0.3163 0.6837
Si: 0.3163 0.6837 0.3163
Si: 0.3163 0.6837 0.6837
Si: 0.3847 0.5000 0.1877
Si: 0.3847 0.5000 0.8123
Si: 0.5000 0.0000 0.2500
Si: 0.5000 0.0000 0.7500
Si: 0.5000 0.1877 0.3847
Si: 0.5000 0.1877 0.6153
Si: 0.5000 0.8123 0.3847
Si: 0.5000 0.8123 0.6153
Si: 0.6153 0.5000 0.1877
Si: 0.6153 0.5000 0.8123
Si: 0.6837 0.3163 0.3163
Si: 0.6837 0.3163 0.6837
Si: 0.6837 0.6837 0.3163
Si: 0.6837 0.6837 0.6837
Si: 0.6877 0.0000 0.1153
Si: 0.6877 0.0000 0.8847
Si: 0.7500 0.5000 0.0000
Si: 0.8123 0.3847 0.5000
Si: 0.8123 0.6153 0.5000
Si: 0.8163 0.1837 0.1837
Si: 0.8163 0.1837 0.8163
Si: 0.8163 0.8163 0.1837
Si: 0.8163 0.8163 0.8163
Si: 0.8847 0.3123 0.0000
Si: 0.8847 0.6877 0.0000
Os: 0.0000 0.5000 0.2500
Os: 0.0000 0.5000 0.7500
Os: 0.2500 0.0000 0.5000
Os: 0.5000 0.2500 0.0000
Os: 0.5000 0.7500 0.0000
Os: 0.7500 0.0000 0.5000

This entry pairs a crystal structure of Si5Os4 with its calculated X-ray diffraction stick pattern. Radiation: λ = 1.5418 Å (Cu Kα). Structure: a DFT-relaxed cell (PBE, Alexandria).

The 10 most intense peaks (2θ = 10–90°), sorted by position:
two_theta  Rel. int.
28.22  65
29.69  100
36.72  26
41.42  44
42.09  89
42.89  70
55.14  36
63.57  23
78.05  25
86.70  20

Structural model:
Lattice parameters (Å, degrees): 7.3042 7.3042 5.3078 90.00 90.00 120.00
Atoms (fractional coordinates):
Si: 0.0000 0.2870 0.2500
Si: 0.0000 0.7130 0.7500
Si: 0.2870 0.0000 0.2500
Si: 0.2870 0.2870 0.7500
Si: 0.3333 0.6667 0.0000
Si: 0.3333 0.6667 0.5000
Si: 0.6667 0.3333 0.0000
Si: 0.6667 0.3333 0.5000
Si: 0.7130 0.0000 0.7500
Si: 0.7130 0.7130 0.2500
Os: 0.0000 0.0000 0.0000
Os: 0.0000 0.0000 0.5000
Os: 0.0000 0.3877 0.7500
Os: 0.0000 0.6123 0.2500
Os: 0.3877 0.0000 0.7500
Os: 0.3877 0.3877 0.2500
Os: 0.6123 0.0000 0.2500
Os: 0.6123 0.6123 0.7500

This entry pairs a crystal structure of Si3Os2 with its calculated X-ray diffraction stick pattern. Radiation: λ = 1.5418 Å (Cu Kα). Structure: a DFT-relaxed cell (PBE, Alexandria).

The 10 most intense peaks (2θ = 10–90°), sorted by position:
two_theta  Rel. int.
25.44  100
31.69  56
41.07  85
45.43  30
46.63  55
52.78  25
62.89  16
67.14  30
72.15  14
75.26  14

Structural model:
Lattice parameters (Å, degrees): 5.6468 5.6468 8.9253 90.00 90.00 90.00
Atoms (fractional coordinates):
Si: 0.1439 0.2936 0.4096
Si: 0.1439 0.7064 0.9096
Si: 0.2936 0.1439 0.0904
Si: 0.2936 0.8561 0.5904
Si: 0.3316 0.3316 0.7500
Si: 0.3316 0.6684 0.2500
Si: 0.6684 0.3316 0.2500
Si: 0.6684 0.6684 0.7500
Si: 0.7064 0.1439 0.5904
Si: 0.7064 0.8561 0.0904
Si: 0.8561 0.2936 0.9096
Si: 0.8561 0.7064 0.4096
Os: 0.0000 0.0000 0.2500
Os: 0.0000 0.0000 0.7500
Os: 0.0000 0.5000 0.1284
Os: 0.0000 0.5000 0.6284
Os: 0.5000 0.0000 0.3716
Os: 0.5000 0.0000 0.8716
Os: 0.5000 0.5000 0.0000
Os: 0.5000 0.5000 0.5000

This entry pairs a crystal structure of Si5Os3 with its calculated X-ray diffraction stick pattern. Radiation: λ = 1.5418 Å (Cu Kα). Structure: a DFT-relaxed cell (PBE, Alexandria).

The 10 most intense peaks (2θ = 10–90°), sorted by position:
two_theta  Rel. int.
27.12  100
27.29  33
28.87  26
32.61  35
32.77  32
41.43  16
44.08  30
44.18  19
45.53  22
50.07  28

Structural model:
Lattice parameters (Å, degrees): 6.8810 6.8810 6.8241 101.62 101.62 126.58
Atoms (fractional coordinates):
Si: 0.0000 0.0000 0.0000
Si: 0.0316 0.3873 0.2087
Si: 0.1799 0.8252 0.7947
Si: 0.3253 0.5321 0.6451
Si: 0.3873 0.0316 0.2087
Si: 0.5064 0.5064 0.0014
Si: 0.5321 0.3253 0.6451
Si: 0.6795 0.8858 0.3597
Si: 0.8252 0.1799 0.7947
Si: 0.8858 0.6795 0.3597
Os: 0.0927 0.0927 0.6780
Os: 0.3627 0.8638 0.5027
Os: 0.4110 0.4110 0.3218
Os: 0.5915 0.9154 0.0010
Os: 0.8638 0.3627 0.5027
Os: 0.9154 0.5915 0.0010

This entry pairs a crystal structure of SiOs with its calculated X-ray diffraction stick pattern. Radiation: λ = 1.5418 Å (Cu Kα). Structure: a DFT-relaxed cell (PBE, Alexandria).

The 10 most intense peaks (2θ = 10–90°), sorted by position:
two_theta  Rel. int.
27.71  54
30.68  50
32.60  100
41.81  59
43.83  22
45.02  20
45.37  99
52.20  26
73.58  20
76.72  20

Structural model:
Lattice parameters (Å, degrees): 3.0366 5.8288 6.4377 90.00 90.00 90.00
Atoms (fractional coordinates):
Si: 0.0000 0.2101 0.0000
Si: 0.0000 0.7899 0.0000
Si: 0.5000 0.2899 0.5000
Si: 0.5000 0.7101 0.5000
Os: 0.0000 0.0000 0.3429
Os: 0.0000 0.5000 0.2702
Os: 0.5000 0.0000 0.7702
Os: 0.5000 0.5000 0.8429

This entry pairs a crystal structure of Si2Os with its calculated X-ray diffraction stick pattern. Radiation: λ = 1.5418 Å (Cu Kα). Structure: a DFT-relaxed cell (PBE, Alexandria).

The 10 most intense peaks (2θ = 10–90°), sorted by position:
two_theta  Rel. int.
20.54  100
25.89  57
27.17  40
32.39  42
32.51  80
37.13  64
44.64  50
46.25  48
46.86  50
48.04  40

Structural model:
Lattice parameters (Å, degrees): 3.0050 4.6007 6.7725 80.04 77.22 70.97
Atoms (fractional coordinates):
Si: 0.1048 0.1842 0.1053
Si: 0.3585 0.2549 0.5280
Si: 0.6415 0.7451 0.4720
Si: 0.8952 0.8158 0.8947
Os: 0.3441 0.6080 0.2021
Os: 0.6559 0.3920 0.7979